[1]
Computed X-ray diffraction stick pattern
Compound: Cs2CaBiI6
Radiation: a wavelength of 1.5418 Å
Structure: a DFT-relaxed cell (GGA-PBE, Alexandria)

Largest 8 diffraction maxima, low angle first, 15° ≤ 2θ ≤ 90°:
2θ = 24.17°, I = 100.0; 2θ = 26.36°, I = 52.3; 2θ = 28.75°, I = 89.4; 2θ = 39.40°, I = 71.1; 2θ = 41.11°, I = 33.6; 2θ = 48.25°, I = 33.6; 2θ = 49.50°, I = 36.6; 2θ = 73.76°, I = 22.4

Atomic structure:
```
Cs2CaBiI6
1.0
-4.3915 4.3915 6.7617
4.3915 -4.3915 6.7617
4.3915 4.3915 -6.7617
Cs Ca Bi I
2 1 1 6
direct
0.2500 0.7500 0.5000
0.7500 0.2500 0.5000
0.0000 0.0000 0.0000
0.5000 0.5000 0.0000
0.2269 0.2269 0.0000
0.2528 0.2528 0.5056
0.2528 0.7472 0.0000
0.7472 0.2528 0.0000
0.7472 0.7472 0.4944
0.7731 0.7731 0.0000
```



[2]
Computed X-ray diffraction stick pattern
Compound: Cs2CaBiO4
Radiation: a wavelength of 1.5418 Å
Structure: a DFT-relaxed cell (GGA-PBE, Alexandria)

Largest 8 diffraction maxima, low angle first, 15° ≤ 2θ ≤ 90°:
2θ = 16.00°, I = 41.5; 2θ = 19.82°, I = 100.0; 2θ = 25.71°, I = 39.4; 2θ = 26.97°, I = 68.5; 2θ = 27.36°, I = 64.1; 2θ = 31.77°, I = 50.2; 2θ = 38.02°, I = 26.6; 2θ = 46.47°, I = 30.2

Atomic structure:
```
Cs2CaBiO4
1.0
0.0000 6.9294 11.0794
3.0825 0.0000 11.0794
3.0825 6.9294 0.0000
Cs Ca Bi O
4 2 2 8
direct
0.0601 0.0601 0.6899
0.3101 0.3101 0.9399
0.6899 0.6899 0.0601
0.9399 0.9399 0.3101
0.1250 0.1250 0.1250
0.8750 0.8750 0.8750
0.3750 0.3750 0.3750
0.6250 0.6250 0.6250
0.0009 0.6663 0.5646
0.2682 0.5646 0.6663
0.3337 0.9991 0.7318
0.4354 0.7318 0.9991
0.5646 0.2682 0.0009
0.6663 0.0009 0.2682
0.7318 0.4354 0.3337
0.9991 0.3337 0.4354
```



[3]
Computed X-ray diffraction stick pattern
Compound: CsCaTl2Bi2
Radiation: a wavelength of 1.5418 Å
Structure: a DFT-relaxed cell (GGA-PBE, Alexandria)

Largest 8 diffraction maxima, low angle first, 15° ≤ 2θ ≤ 90°:
2θ = 18.58°, I = 20.7; 2θ = 20.99°, I = 40.1; 2θ = 27.00°, I = 67.4; 2θ = 29.31°, I = 26.4; 2θ = 32.47°, I = 100.0; 2θ = 34.92°, I = 28.7; 2θ = 42.72°, I = 19.7; 2θ = 44.30°, I = 52.7

Atomic structure:
```
CsCaTl2Bi2
1.0
5.5150 0.0000 0.0000
-2.7575 4.7761 0.0000
0.0000 0.0000 9.1425
Cs Ca Tl Bi
1 1 2 2
direct
0.0000 0.0000 0.0000
0.0000 0.0000 0.5000
0.3333 0.6667 0.6561
0.6667 0.3333 0.3439
0.3333 0.6667 0.2915
0.6667 0.3333 0.7085
```